[1]
Theoretical powder X-ray diffraction pattern
Compound: Mg14NbGa
Radiation: Cu Kα
Structure: a cell relaxed with PBE
Kinematic intensities with the Lorentz-polarization factor, no thermal factor.

Most intense lines, 15° ≤ 2θ ≤ 90°, most intense first:
2θ/deg  I_rel
37.6  100
16.3  30
32.9  27
35.8  25
70.7  19
65.4  18
24.1  18
49.4  17

Structural model:
```
16
Lattice="6.294 0.000 0.000 -3.147 5.450 0.000 0.000 0.000 10.043" Properties=species:S:1:pos:R:3 pbc="T T T"
Mg 0.000 0.000 2.471
Mg 0.000 0.000 7.572
Mg -1.509 2.762 2.492
Mg -1.509 2.762 7.551
Mg 1.567 0.905 5.022
Mg 1.592 0.919 0.000
Mg 1.509 2.762 2.492
Mg 1.509 2.762 7.551
Mg 0.000 5.376 2.492
Mg 0.000 5.376 7.551
Mg 4.701 0.919 0.000
Mg 3.147 3.612 0.000
Mg 4.726 0.905 5.022
Mg 3.147 3.641 5.022
Nb 0.000 3.634 0.000
Ga 0.000 3.634 5.022
```



[2]
Theoretical powder X-ray diffraction pattern
Compound: NdMg3Ga3
Radiation: Cu Kα
Structure: a cell relaxed with PBE
Kinematic intensities with the Lorentz-polarization factor, no thermal factor.

Most intense lines, 15° ≤ 2θ ≤ 90°, most intense first:
2θ/deg  I_rel
34.7  100
36.3  78
40.7  47
32.2  44
40.3  40
27.8  33
29.9  27
36.7  27

Structural model:
```
14
Lattice="7.905 0.000 0.000 0.000 4.432 0.000 -3.691 0.000 8.817" Properties=species:S:1:pos:R:3 pbc="T T T"
Nd 0.278 1.108 2.585
Nd 3.936 3.324 6.232
Mg -0.737 3.324 6.589
Mg -1.275 1.108 8.552
Mg 2.860 3.324 2.211
Mg 1.354 1.108 6.606
Mg 5.489 3.324 0.265
Mg 4.951 1.108 2.228
Ga -2.123 1.108 5.127
Ga 0.735 3.324 0.354
Ga 1.280 3.324 4.623
Ga 2.934 1.108 4.194
Ga 3.479 1.108 8.463
Ga 6.337 3.324 3.690
```



[3]
Theoretical powder X-ray diffraction pattern
Compound: Nd4MgGa3
Radiation: Cu Kα
Structure: a cell relaxed with PBE
Kinematic intensities with the Lorentz-polarization factor, no thermal factor.

Most intense lines, 15° ≤ 2θ ≤ 90°, most intense first:
2θ/deg  I_rel
33.8  100
34.0  50
60.8  36
23.9  20
60.4  18
48.9  18
71.2  11
23.6  10

Structural model:
```
16
Lattice="10.538 0.000 0.000 0.000 7.534 0.000 0.000 0.000 5.268" Properties=species:S:1:pos:R:3 pbc="T T T"
Nd 0.000 1.828 0.000
Nd 0.000 5.706 0.000
Nd 2.635 1.828 2.624
Nd 2.635 5.706 2.624
Nd 5.269 1.828 0.000
Nd 5.269 5.706 0.000
Nd 7.904 1.828 2.644
Nd 7.904 5.706 2.644
Mg 0.000 3.767 2.634
Mg 5.269 3.767 2.634
Ga 0.000 0.000 2.634
Ga 2.635 0.000 5.254
Ga 2.635 3.767 5.253
Ga 5.269 0.000 2.634
Ga 7.904 0.000 0.015
Ga 7.904 3.767 0.015
```



[4]
Theoretical powder X-ray diffraction pattern
Compound: NdMgGa
Radiation: Cu Kα
Structure: a cell relaxed with PBE
Kinematic intensities with the Lorentz-polarization factor, no thermal factor.

Most intense lines, 15° ≤ 2θ ≤ 90°, most intense first:
2θ/deg  I_rel
32.3  100
37.6  50
21.4  38
50.4  28
64.5  27
63.3  21
89.1  11
67.8  9

Structural model:
```
3
Lattice="4.787 0.000 0.000 -2.393 4.146 0.000 0.000 0.000 3.720" Properties=species:S:1:pos:R:3 pbc="T T T"
Nd 0.000 0.000 0.000
Mg 0.000 2.764 1.860
Ga 2.393 1.382 1.860
```



[5]
Theoretical powder X-ray diffraction pattern
Compound: Nd2MgGa2Rh5
Radiation: Cu Kα
Structure: a cell relaxed with PBE
Kinematic intensities with the Lorentz-polarization factor, no thermal factor.

Most intense lines, 15° ≤ 2θ ≤ 90°, most intense first:
2θ/deg  I_rel
38.0  100
36.9  55
41.2  37
32.1  27
64.8  21
44.1  19
51.2  19
35.7  15

Structural model:
```
20
Lattice="10.031 0.000 0.000 0.000 10.031 0.000 0.000 0.000 3.566" Properties=species:S:1:pos:R:3 pbc="T T T"
Nd 1.756 3.260 0.000
Nd 3.260 8.275 0.000
Nd 6.771 1.756 0.000
Nd 8.275 6.771 0.000
Mg 0.000 0.000 0.000
Mg 5.016 5.016 0.000
Ga 1.237 6.252 0.000
Ga 3.779 1.237 0.000
Ga 6.252 8.794 0.000
Ga 8.794 3.779 0.000
Rh 0.000 5.016 1.783
Rh 0.671 7.943 1.783
Rh 2.088 0.671 1.783
Rh 2.928 5.687 1.783
Rh 4.344 2.928 1.783
Rh 5.016 0.000 1.783
Rh 5.687 7.103 1.783
Rh 7.103 4.344 1.783
Rh 7.943 9.360 1.783
Rh 9.360 2.088 1.783
```



[6]
Theoretical powder X-ray diffraction pattern
Compound: NdMgTlGa
Radiation: Cu Kα
Structure: a cell relaxed with PBE
Kinematic intensities with the Lorentz-polarization factor, no thermal factor.

Most intense lines, 15° ≤ 2θ ≤ 90°, most intense first:
2θ/deg  I_rel
33.7  100
19.3  30
27.3  26
37.5  19
39.3  17
40.6  15
65.2  15
67.6  13

Structural model:
```
4
Lattice="4.448 0.000 0.000 0.000 4.590 0.000 0.000 0.000 4.802" Properties=species:S:1:pos:R:3 pbc="T T T"
Nd 0.000 0.000 0.000
Mg 0.000 2.295 2.401
Tl 2.224 0.000 2.401
Ga 2.224 2.295 0.000
```



[7]
Theoretical powder X-ray diffraction pattern
Compound: NdMgZn2Ga5
Radiation: Cu Kα
Structure: a cell relaxed with PBE
Kinematic intensities with the Lorentz-polarization factor, no thermal factor.

Most intense lines, 15° ≤ 2θ ≤ 90°, most intense first:
2θ/deg  I_rel
35.1  100
43.7  42
40.2  36
23.1  23
74.7  23
63.1  16
63.5  13
43.1  12

Structural model:
```
9
Lattice="4.142 0.000 0.000 0.000 4.142 0.000 0.000 0.000 10.487" Properties=species:S:1:pos:R:3 pbc="T T T"
Nd 0.000 0.000 0.000
Mg 0.000 0.000 5.243
Zn 2.071 2.071 4.043
Zn 2.071 2.071 6.444
Ga 0.000 2.071 2.382
Ga 0.000 2.071 8.104
Ga 2.071 0.000 2.382
Ga 2.071 0.000 8.104
Ga 2.071 2.071 0.000
```



[8]
Theoretical powder X-ray diffraction pattern
Compound: Mg2Ga4Ni5
Radiation: Cu Kα
Structure: a cell relaxed with PBE
Kinematic intensities with the Lorentz-polarization factor, no thermal factor.

Most intense lines, 15° ≤ 2θ ≤ 90°, most intense first:
2θ/deg  I_rel
42.5  100
20.5  87
47.6  82
40.1  75
20.9  73
48.5  48
48.2  46
47.0  43

Structural model:
```
11
Lattice="0.000 4.326 7.556 2.573 0.000 7.556 2.573 4.326 0.000" Properties=species:S:1:pos:R:3 pbc="T T T"
Mg 2.573 4.326 1.522
Mg 2.573 4.326 13.590
Ga 2.573 2.925 5.599
Ga 2.573 2.925 9.513
Ga 2.573 5.726 5.599
Ga 2.573 5.726 9.513
Ni 1.287 2.163 0.000
Ni 1.287 2.163 3.778
Ni 1.287 2.163 7.556
Ni 2.573 4.326 7.556
Ni 3.860 6.488 11.334
```



[9]
Theoretical powder X-ray diffraction pattern
Compound: Mg4Ga5Ni3
Radiation: Cu Kα
Structure: a cell relaxed with PBE
Kinematic intensities with the Lorentz-polarization factor, no thermal factor.

Most intense lines, 15° ≤ 2θ ≤ 90°, most intense first:
2θ/deg  I_rel
37.8  100
41.1  85
42.8  51
40.9  49
15.1  47
41.5  46
38.6  39
30.5  39

Structural model:
```
12
Lattice="6.325 -2.381 0.000 6.325 2.381 0.000 -3.708 0.000 6.502" Properties=species:S:1:pos:R:3 pbc="T T T"
Mg -0.582 0.000 2.742
Mg -0.491 0.000 5.745
Mg 9.433 0.000 0.757
Mg 9.524 0.000 3.760
Ga 0.000 0.000 0.000
Ga 1.804 0.000 4.198
Ga 4.240 0.000 1.925
Ga 4.702 0.000 4.577
Ga 7.138 0.000 2.304
Ni 1.810 0.000 1.675
Ni 6.325 0.000 0.000
Ni 7.132 0.000 4.827
```



[10]
Theoretical powder X-ray diffraction pattern
Compound: Mg2Ga4Ni3
Radiation: Cu Kα
Structure: a cell relaxed with PBE
Kinematic intensities with the Lorentz-polarization factor, no thermal factor.

Most intense lines, 15° ≤ 2θ ≤ 90°, most intense first:
2θ/deg  I_rel
42.3  100
44.6  44
21.2  38
43.2  37
67.0  26
20.7  23
34.4  20
45.8  19

Structural model:
```
9
Lattice="0.000 4.301 6.095 2.609 0.000 6.095 2.609 4.301 0.000" Properties=species:S:1:pos:R:3 pbc="T T T"
Mg 2.609 4.301 1.404
Mg 2.609 4.301 10.787
Ga 2.609 2.876 4.119
Ga 2.609 2.876 8.072
Ga 2.609 5.725 4.119
Ga 2.609 5.725 8.072
Ni 1.304 2.150 0.000
Ni 1.304 2.150 6.095
Ni 2.609 4.301 6.095
```



[11]
Theoretical powder X-ray diffraction pattern
Compound: Mg3Ga4Ni8
Radiation: Cu Kα
Structure: a cell relaxed with PBE
Kinematic intensities with the Lorentz-polarization factor, no thermal factor.

Most intense lines, 15° ≤ 2θ ≤ 90°, most intense first:
2θ/deg  I_rel
43.6  100
39.9  29
51.7  27
80.2  23
45.8  23
15.1  19
26.3  18
51.1  18

Structural model:
```
30
Lattice="0.000 5.866 5.866 5.866 0.000 5.866 5.866 5.866 0.000" Properties=species:S:1:pos:R:3 pbc="T T T"
Mg 5.866 5.866 2.655
Mg 5.866 2.655 5.866
Mg 9.076 5.866 5.866
Mg 2.655 5.866 5.866
Mg 5.866 9.076 5.866
Mg 5.866 5.866 9.076
Ga 0.000 0.000 0.000
Ga 2.933 2.933 0.000
Ga 2.933 0.000 2.933
Ga 5.866 2.933 2.933
Ga 0.000 2.933 2.933
Ga 2.933 5.866 2.933
Ga 2.933 2.933 5.866
Ga 5.866 5.866 5.866
Ni 7.270 4.461 4.461
Ni 2.025 2.025 2.025
Ni 3.840 3.840 2.025
Ni 3.840 2.025 3.840
Ni 4.461 4.461 4.461
Ni 7.270 7.270 4.461
Ni 7.270 4.461 7.270
Ni 2.025 3.840 3.840
Ni 9.706 7.891 7.891
Ni 4.461 7.270 4.461
Ni 4.461 4.461 7.270
Ni 7.270 7.270 7.270
Ni 7.891 9.706 7.891
Ni 7.891 7.891 9.706
Ni 9.706 9.706 9.706
Ni 4.461 7.270 7.270
```



[12]
Theoretical powder X-ray diffraction pattern
Compound: Mg3GaNi9P2
Radiation: Cu Kα
Structure: a cell relaxed with PBE
Kinematic intensities with the Lorentz-polarization factor, no thermal factor.

Most intense lines, 15° ≤ 2θ ≤ 90°, most intense first:
2θ/deg  I_rel
42.7  100
21.0  63
38.2  60
49.4  28
43.1  27
18.1  23
66.0  22
50.4  20

Structural model:
```
15
Lattice="5.665 0.000 0.000 -2.833 4.906 0.000 0.000 0.000 8.403" Properties=species:S:1:pos:R:3 pbc="T T T"
Mg 0.000 0.000 0.000
Mg 0.000 3.271 6.066
Mg 2.833 1.635 2.337
Ga 0.000 0.000 4.201
Ni -1.416 2.453 0.000
Ni 0.000 1.377 2.244
Ni -1.640 4.218 2.244
Ni 1.193 0.689 6.159
Ni 2.833 0.000 0.000
Ni 1.416 2.453 0.000
Ni 1.640 4.218 2.244
Ni 4.473 0.689 6.159
Ni 2.833 3.529 6.159
P 0.000 3.271 1.422
P 2.833 1.635 6.981
```